Record 1
Structure and calculated powder diffraction line list of Y7TmO12 (a DFT-relaxed cell (GGA-PBE, Alexandria); Cu Kα (weighted mean of Kα1 and Kα2)).
No peak broadening, texture or thermal motion is included.

Structure:
```
Y7TmO12
1.0
-5.335 5.336 5.338
5.335 -5.336 5.338
5.335 5.336 -5.338
Y Tm O
14 2 24
direct
0.001 0.000 0.499
0.001 0.502 0.001
0.032 0.750 0.782
0.218 0.468 0.750
0.250 0.283 0.033
0.282 0.032 0.250
0.468 0.250 0.718
0.499 0.500 0.501
0.499 0.998 0.999
0.533 0.750 0.283
0.716 0.966 0.750
0.750 0.217 0.467
0.784 0.534 0.250
0.967 0.250 0.217
0.250 0.783 0.533
0.750 0.717 0.967
0.012 0.240 0.469
0.027 0.772 0.042
0.046 0.535 0.274
0.229 0.260 0.272
0.229 0.985 0.458
0.240 0.228 0.770
0.260 0.031 0.989
0.271 0.543 0.031
0.271 0.728 0.756
0.454 0.728 0.489
0.473 0.515 0.744
0.488 0.957 0.228
0.509 0.040 0.771
0.532 0.490 0.262
0.542 0.272 0.511
0.728 0.270 0.238
0.730 0.460 0.969
0.740 0.965 0.011
0.760 0.772 0.226
0.770 0.738 0.729
0.772 0.010 0.542
0.958 0.469 0.730
0.968 0.230 0.958
0.991 0.762 0.531
```

Main lines, in order of rising 2θ (2θ = 5–70°):
- 20.4°, 4.357 Å, intensity 15
- 29.0°, 3.081 Å, intensity 100
- 33.6°, 2.668 Å, intensity 27
- 35.7°, 2.516 Å, intensity 7
- 43.2°, 2.093 Å, intensity 10
- 48.2°, 1.887 Å, intensity 42
- 57.3°, 1.609 Å, intensity 30
- 58.7°, 1.574 Å, intensity 7

=====

Record 2
Structure and calculated powder diffraction line list of Li2TbCu9 (a DFT-relaxed cell (GGA-PBE, Alexandria); Cu Kα (weighted mean of Kα1 and Kα2)).
No peak broadening, texture or thermal motion is included.

Structure:
```
Li2TbCu9
1.0
8.306 0.000 0.000
0.000 8.306 0.000
0.000 0.000 4.912
Li Tb Cu
4 2 18
direct
0.114 0.386 0.000
0.386 0.886 0.000
0.614 0.114 0.000
0.886 0.614 0.000
0.000 0.000 0.000
0.500 0.500 0.000
0.000 0.500 0.500
0.061 0.209 0.500
0.181 0.681 0.243
0.181 0.681 0.757
0.209 0.939 0.500
0.291 0.439 0.500
0.319 0.181 0.243
0.319 0.181 0.757
0.439 0.709 0.500
0.500 0.000 0.500
0.561 0.291 0.500
0.681 0.819 0.243
0.681 0.819 0.757
0.709 0.561 0.500
0.791 0.061 0.500
0.819 0.319 0.243
0.819 0.319 0.757
0.939 0.791 0.500
```

Main lines, in order of rising 2θ (2θ = 5–70°):
- 15.1°, 5.873 Å, intensity 26
- 23.6°, 3.768 Å, intensity 44
- 24.0°, 3.715 Å, intensity 26
- 35.6°, 2.521 Å, intensity 47
- 38.9°, 2.316 Å, intensity 100
- 42.8°, 2.114 Å, intensity 59
- 44.2°, 2.049 Å, intensity 49
- 45.0°, 2.014 Å, intensity 61

=====

Record 3
Structure and calculated powder diffraction line list of TiInHgBr6 (a DFT-relaxed cell (GGA-PBE, Alexandria); Cu Kα (weighted mean of Kα1 and Kα2)).
No peak broadening, texture or thermal motion is included.

Structure:
```
TiInHgBr6
1.0
7.235 0.000 0.000
-3.617 6.265 0.000
0.000 0.000 6.877
Ti In Hg Br
1 1 1 6
direct
0.000 0.000 0.000
0.333 0.667 0.500
0.667 0.333 0.000
0.297 0.017 0.218
0.297 0.280 0.782
0.720 0.017 0.782
0.720 0.703 0.218
0.983 0.280 0.218
0.983 0.703 0.782
```

Main lines, in order of rising 2θ (2θ = 5–70°):
- 12.9°, 6.877 Å, intensity 27
- 19.2°, 4.631 Å, intensity 100
- 27.9°, 3.201 Å, intensity 82
- 31.4°, 2.851 Å, intensity 26
- 36.0°, 2.492 Å, intensity 92
- 40.3°, 2.239 Å, intensity 46
- 43.3°, 2.088 Å, intensity 42
- 46.9°, 1.936 Å, intensity 21